The following is a computed X-ray powder pattern of TeWO. It was derived from a PBE+U-relaxed structure, using Cu Kα, 1.54184 Å.

Main lines, in order of rising 2θ (2θ from 10° to 80°):
2θ/deg  intensity
21.4  12.5
22.7  83.5
30.5  100.0
38.3  87.1
43.7  37.1
46.3  15.6
49.8  41.9
56.5  34.4
65.5  21.8
68.4  16.4
72.1  16.5
76.7  23.8

Structural model:
abc: 5.7058 5.7058 5.7058
angles: 118.22 118.22 93.12
Positions (direct):
Te 0.0000 0.5000 0.5000
Te 0.5000 0.0000 0.5000
W 0.0000 0.0000 0.0000
W 0.5000 0.5000 0.0000
O 0.2380 0.2380 0.0000
O 0.7620 0.7620 0.0000